Record 1
# Pm4InSn3
Simulated X-ray powder pattern, Cu Kα, 1.54184 Å. Input: DFT lattice parameters and positions (PBE).
Neutral-atom scattering factors, no anomalous dispersion.

Peak list (8 most intense, 10 to 90 degrees two-theta, by angle)
| d [Å] | I_rel |
| --- | --- |
| 3.074 | 100 |
| 2.988 | 20 |
| 2.927 | 32 |
| 2.468 | 72 |
| 2.433 | 17 |
| 2.323 | 27 |
| 2.189 | 23 |
| 1.593 | 17 |

Structural model:
```
8
Lattice="4.3775 0.0000 0.0000 0.0000 4.6460 0.0000 0.0000 0.0000 11.7067" Properties=species:S:1:pos:R:3 pbc="T T T"
Pm 0.0000 0.0000 0.0000
Pm 0.0000 2.3230 5.8400
Pm 2.1888 0.0000 8.4963
Pm 2.1888 2.3230 2.6484
In 0.0000 2.3230 9.0915
Sn 0.0000 0.0000 3.1949
Sn 2.1888 0.0000 5.2861
Sn 2.1888 2.3230 11.0991
```


Record 2
# Pr3InS6
Simulated X-ray powder pattern, Cu Kα, 1.54184 Å. Input: DFT lattice parameters and positions (PBE).
Neutral-atom scattering factors, no anomalous dispersion.

Peak list (8 most intense, 10 to 90 degrees two-theta, by angle)
| d [Å] | I_rel |
| --- | --- |
| 3.613 | 100 |
| 3.521 | 50 |
| 3.411 | 60 |
| 2.966 | 35 |
| 2.861 | 35 |
| 2.677 | 47 |
| 2.592 | 49 |
| 2.015 | 46 |

Structural model:
```
40
Lattice="13.8961 0.0000 0.0000 0.0000 16.9206 0.0000 0.0000 0.0000 4.0323" Properties=species:S:1:pos:R:3 pbc="T T T"
Pr 0.5031 3.7616 0.9962
Pr 2.6671 10.8830 0.9909
Pr 3.4484 6.6156 0.9706
Pr 3.4996 15.0759 3.0617
Pr 4.2809 2.4227 3.0414
Pr 6.4449 12.2219 3.0361
Pr 7.4512 4.6986 3.0361
Pr 9.6152 14.4979 3.0414
Pr 10.3965 1.8447 3.0617
Pr 10.4477 10.3050 0.9706
Pr 11.2290 6.0376 0.9909
Pr 13.3930 13.1589 0.9962
In 0.0000 0.0000 3.6451
In 0.0000 8.4603 3.0052
In 6.9481 0.0000 1.0271
In 6.9481 8.4603 0.3873
S 0.2880 6.7296 0.9889
S 1.4199 15.4101 1.0633
S 1.4703 1.8787 3.0204
S 1.5947 12.5890 3.0130
S 2.4679 4.7777 2.9953
S 2.6235 8.7623 3.0020
S 4.3245 0.3020 1.0303
S 4.4801 13.2380 1.0370
S 5.3534 4.1287 1.0193
S 5.4778 10.3389 1.0119
S 5.5282 6.9499 2.9690
S 6.6601 15.1899 3.0434
S 7.2360 1.7307 3.0434
S 8.3680 9.9707 2.9690
S 8.4183 6.5816 1.0119
S 8.5427 12.7919 1.0193
S 9.4160 3.6826 1.0370
S 9.5716 16.6185 1.0303
S 11.2726 8.1582 3.0020
S 11.4282 12.1429 2.9953
S 12.3014 4.3316 3.0130
S 12.4259 15.0419 3.0204
S 12.4762 1.5104 1.0633
S 13.6081 10.1910 0.9889
```


Record 3
# PrScZn2In2
Simulated X-ray powder pattern, Cu Kα, 1.54184 Å. Input: DFT lattice parameters and positions (PBE).
Neutral-atom scattering factors, no anomalous dispersion.

Peak list (8 most intense, 10 to 90 degrees two-theta, by angle)
| d [Å] | I_rel |
| --- | --- |
| 3.520 | 40 |
| 2.701 | 100 |
| 2.320 | 82 |
| 2.081 | 15 |
| 1.760 | 27 |
| 1.434 | 17 |
| 1.402 | 25 |
| 1.340 | 13 |

Structural model:
```
6
Lattice="4.6406 0.0000 0.0000 -2.3203 4.0189 0.0000 0.0000 0.0000 7.2951" Properties=species:S:1:pos:R:3 pbc="T T T"
Pr 0.0000 0.0000 0.0000
Sc 0.0000 0.0000 3.6577
Zn 0.0000 2.6793 1.5975
Zn 2.3203 1.3396 4.9957
In 0.0000 2.6793 5.4912
In 2.3203 1.3396 2.1418
```


Record 4
# PrZnInSe3
Simulated X-ray powder pattern, Cu Kα, 1.54184 Å. Input: DFT lattice parameters and positions (PBE).
Neutral-atom scattering factors, no anomalous dispersion.

Peak list (8 most intense, 10 to 90 degrees two-theta, by angle)
| d [Å] | I_rel |
| --- | --- |
| 3.462 | 39 |
| 3.129 | 46 |
| 3.018 | 100 |
| 2.882 | 75 |
| 2.864 | 61 |
| 2.369 | 37 |
| 2.266 | 40 |
| 2.201 | 82 |

Structural model:
```
24
Lattice="8.5535 0.0000 0.0000 0.0000 4.4027 0.0000 0.0000 0.0000 16.8111" Properties=species:S:1:pos:R:3 pbc="T T T"
Pr 2.1043 1.1007 0.8025
Pr 2.1724 3.3020 9.2080
Pr 6.3811 1.1007 7.6031
Pr 6.4492 3.3020 16.0087
Zn 1.2093 1.1007 6.0556
Zn 3.0675 3.3020 14.4611
Zn 5.4860 1.1007 2.3500
Zn 7.3442 3.3020 10.7556
In 0.6324 1.1007 13.1670
In 3.6444 3.3020 4.7615
In 4.9091 1.1007 12.0497
In 7.9211 3.3020 3.6441
Se 0.0140 3.3020 6.8354
Se 1.0809 3.3020 15.9189
Se 1.6242 1.1007 3.6494
Se 2.6525 3.3020 12.0549
Se 3.1959 1.1007 7.5133
Se 4.2628 1.1007 15.2409
Se 4.2907 3.3020 1.5702
Se 5.3576 3.3020 9.2979
Se 5.9010 1.1007 4.7562
Se 6.9293 3.3020 13.1618
Se 7.4727 1.1007 0.8923
Se 8.5395 1.1007 9.9758
```


Record 5
# Pr5InTe4
Simulated X-ray powder pattern, Cu Kα, 1.54184 Å. Input: DFT lattice parameters and positions (PBE).
Neutral-atom scattering factors, no anomalous dispersion.

Peak list (8 most intense, 10 to 90 degrees two-theta, by angle)
| d [Å] | I_rel |
| --- | --- |
| 3.211 | 100 |
| 2.270 | 77 |
| 1.854 | 27 |
| 1.607 | 9 |
| 1.437 | 24 |
| 1.434 | 12 |
| 1.311 | 17 |
| 1.310 | 9 |

Structural model:
```
10
Lattice="-5.0811 5.0811 3.2052 5.0811 -5.0811 3.2052 5.0811 5.0811 -3.2052" Properties=species:S:1:pos:R:3 pbc="T T T"
Pr 0.0000 0.0000 0.0000
Pr 4.0868 2.0716 0.0000
Pr 3.0095 -0.9943 3.2052
Pr 2.0716 6.0754 0.0000
Pr 0.9943 3.0095 3.2052
In 0.0000 0.0000 3.2052
Te 7.1091 1.0007 0.0000
Te 1.0007 3.0532 0.0000
Te 4.0804 2.0279 3.2052
Te -2.0279 4.0804 3.2052
```


Record 6
# Pr2TmIn8
Simulated X-ray powder pattern, Cu Kα, 1.54184 Å. Input: DFT lattice parameters and positions (PBE).
Neutral-atom scattering factors, no anomalous dispersion.

Peak list (8 most intense, 10 to 90 degrees two-theta, by angle)
| d [Å] | I_rel |
| --- | --- |
| 2.657 | 100 |
| 2.363 | 38 |
| 2.190 | 12 |
| 1.671 | 13 |
| 1.606 | 18 |
| 1.415 | 27 |
| 1.338 | 7 |
| 1.329 | 9 |

Structural model:
```
11
Lattice="4.7267 0.0000 0.0000 0.0000 4.7267 0.0000 0.0000 0.0000 13.1417" Properties=species:S:1:pos:R:3 pbc="T T T"
Pr 0.0000 0.0000 2.2732
Pr 0.0000 0.0000 10.8684
Tm 0.0000 0.0000 6.5708
In 0.0000 2.3633 0.0000
In 0.0000 2.3633 4.6192
In 0.0000 2.3633 8.5225
In 2.3633 0.0000 0.0000
In 2.3633 0.0000 4.6192
In 2.3633 0.0000 8.5225
In 2.3633 2.3633 2.3781
In 2.3633 2.3633 10.7636
```


Record 7
# Pr6Zr2In
Simulated X-ray powder pattern, Cu Kα, 1.54184 Å. Input: DFT lattice parameters and positions (PBE).
Neutral-atom scattering factors, no anomalous dispersion.

Peak list (8 most intense, 10 to 90 degrees two-theta, by angle)
| d [Å] | I_rel |
| --- | --- |
| 5.550 | 50 |
| 3.285 | 100 |
| 3.001 | 25 |
| 2.802 | 56 |
| 2.775 | 94 |
| 2.037 | 32 |
| 1.962 | 34 |
| 1.401 | 20 |

Structural model:
```
9
Lattice="5.5427 0.0000 0.0000 0.0000 5.5570 0.0000 0.0000 0.0000 12.0042" Properties=species:S:1:pos:R:3 pbc="T T T"
Pr 0.0000 0.0000 0.0000
Pr 0.0000 0.0000 6.0021
Pr 0.0000 2.7785 2.4118
Pr 0.0000 2.7785 9.5924
Pr 2.7713 0.0000 2.3925
Pr 2.7713 0.0000 9.6117
Zr 0.0000 0.0000 3.1702
Zr 0.0000 0.0000 8.8340
In 2.7713 2.7785 0.0000
```


Record 8
# InPt9
Simulated X-ray powder pattern, Cu Kα, 1.54184 Å. Input: DFT lattice parameters and positions (PBE).
Neutral-atom scattering factors, no anomalous dispersion.

Peak list (8 most intense, 10 to 90 degrees two-theta, by angle)
| d [Å] | I_rel |
| --- | --- |
| 2.378 | 27 |
| 2.296 | 100 |
| 2.273 | 67 |
| 1.981 | 45 |
| 1.974 | 32 |
| 1.398 | 29 |
| 1.199 | 18 |
| 1.189 | 24 |

Structural model:
```
20
Lattice="2.8239 0.0000 0.0000 0.0000 3.9486 0.0000 0.0000 0.0000 41.6931" Properties=species:S:1:pos:R:3 pbc="T T T"
In 0.7060 0.9871 7.4135
In 2.1179 2.9614 34.2795
Pt 0.7060 0.9871 10.3307
Pt 0.7060 0.9871 13.1554
Pt 0.7060 0.9871 15.9610
Pt 0.7060 0.9871 18.7513
Pt 0.7060 0.9871 21.5419
Pt 0.7060 0.9871 24.3377
Pt 0.7060 0.9871 27.1410
Pt 0.7060 0.9871 29.9654
Pt 0.7060 0.9871 32.8651
Pt 2.1179 2.9614 8.8280
Pt 2.1179 2.9614 11.7277
Pt 2.1179 2.9614 14.5521
Pt 2.1179 2.9614 17.3553
Pt 2.1179 2.9614 20.1512
Pt 2.1179 2.9614 22.9417
Pt 2.1179 2.9614 25.7321
Pt 2.1179 2.9614 28.5377
Pt 2.1179 2.9614 31.3624
```


Record 9
# In9Pt13
Simulated X-ray powder pattern, Cu Kα, 1.54184 Å. Input: DFT lattice parameters and positions (PBE).
Neutral-atom scattering factors, no anomalous dispersion.

Peak list (8 most intense, 10 to 90 degrees two-theta, by angle)
| d [Å] | I_rel |
| --- | --- |
| 2.300 | 15 |
| 2.290 | 100 |
| 2.256 | 66 |
| 2.238 | 32 |
| 1.602 | 22 |
| 1.309 | 14 |
| 1.306 | 9 |
| 1.197 | 17 |

Structural model:
```
22
Lattice="5.6657 -4.4754 0.0000 5.6657 4.4754 0.0000 -5.6389 0.0000 7.8382" Properties=species:S:1:pos:R:3 pbc="T T T"
In 0.0000 0.0000 0.0000
In -1.4413 0.0000 5.2261
In 4.1682 1.8936 1.4965
In 1.4961 0.0000 2.9959
In 1.5243 1.8936 6.3417
In 4.1682 -1.8936 1.4965
In 4.1964 0.0000 4.8422
In 1.5243 -1.8936 6.3417
In 7.1338 0.0000 2.6121
Pt 0.0134 2.2377 3.9191
Pt -1.3280 2.3275 6.5950
Pt -1.3110 0.0000 2.5233
Pt -2.8320 0.0000 7.7750
Pt 2.8462 2.2261 3.9191
Pt 7.0205 2.3275 1.2432
Pt 0.0134 -2.2377 3.9191
Pt 5.6657 0.0000 0.0000
Pt -1.3280 -2.3275 6.5950
Pt 2.8462 -2.2261 3.9191
Pt 8.5245 0.0000 0.0632
Pt 7.0034 0.0000 5.3149
Pt 7.0205 -2.3275 1.2432
```


Record 10
# InPt7
Simulated X-ray powder pattern, Cu Kα, 1.54184 Å. Input: DFT lattice parameters and positions (PBE).
Neutral-atom scattering factors, no anomalous dispersion.

Peak list (8 most intense, 10 to 90 degrees two-theta, by angle)
| d [Å] | I_rel |
| --- | --- |
| 2.310 | 72 |
| 2.279 | 100 |
| 2.189 | 16 |
| 2.002 | 48 |
| 1.957 | 32 |
| 1.400 | 30 |
| 1.211 | 18 |
| 1.199 | 18 |

Structural model:
```
16
Lattice="2.8044 0.0000 0.0000 0.0000 3.9165 0.0000 0.0000 0.0000 34.3193" Properties=species:S:1:pos:R:3 pbc="T T T"
In 0.7011 0.9791 6.3986
In 2.1033 2.9374 27.9207
Pt 0.7011 0.9791 9.3653
Pt 0.7011 0.9791 12.2114
Pt 0.7011 0.9791 15.0420
Pt 0.7011 0.9791 17.8676
Pt 0.7011 0.9791 20.6957
Pt 0.7011 0.9791 23.5441
Pt 0.7011 0.9791 26.4764
Pt 2.1033 2.9374 7.8428
Pt 2.1033 2.9374 10.7752
Pt 2.1033 2.9374 13.6235
Pt 2.1033 2.9374 16.4516
Pt 2.1033 2.9374 19.2773
Pt 2.1033 2.9374 22.1079
Pt 2.1033 2.9374 24.9539
```


Record 11
# In3Pt2
Simulated X-ray powder pattern, Cu Kα, 1.54184 Å. Input: DFT lattice parameters and positions (PBE).
Neutral-atom scattering factors, no anomalous dispersion.

Peak list (8 most intense, 10 to 90 degrees two-theta, by angle)
| d [Å] | I_rel |
| --- | --- |
| 5.600 | 17 |
| 3.988 | 27 |
| 3.249 | 19 |
| 2.303 | 93 |
| 2.292 | 100 |
| 1.624 | 34 |
| 1.329 | 16 |
| 1.327 | 35 |

Structural model:
```
5
Lattice="4.6055 0.0000 0.0000 -2.3027 3.9885 0.0000 0.0000 0.0000 5.5996" Properties=species:S:1:pos:R:3 pbc="T T T"
In 0.0000 0.0000 0.0000
In 0.0000 2.6590 3.6470
In 2.3027 1.3295 1.9526
Pt 0.0000 2.6590 0.9160
Pt 2.3027 1.3295 4.6836
```


Record 12
# TmSc2In3Pt2
Simulated X-ray powder pattern, Cu Kα, 1.54184 Å. Input: DFT lattice parameters and positions (PBE).
Neutral-atom scattering factors, no anomalous dispersion.

Peak list (8 most intense, 10 to 90 degrees two-theta, by angle)
| d [Å] | I_rel |
| --- | --- |
| 6.552 | 40 |
| 2.542 | 100 |
| 2.477 | 90 |
| 2.370 | 67 |
| 2.185 | 29 |
| 2.008 | 39 |
| 1.410 | 30 |
| 1.320 | 34 |

Structural model:
```
8
Lattice="3.4315 0.0000 0.0000 0.0000 6.5557 3.7821 0.0000 -6.5557 3.7821" Properties=species:S:1:pos:R:3 pbc="T T T"
Tm 0.0000 0.0000 0.0000
Sc 0.0000 -2.7704 2.7822
Sc 0.0000 2.7704 2.7822
In 1.7157 0.0000 2.6474
In 1.7157 -1.5564 5.2487
In 1.7157 1.5564 5.2487
Pt 1.7157 -4.3245 4.3945
Pt 1.7157 4.3245 4.3945
```